UNi5H11: simulated PXRD pattern (CuKα), based on the PBE geometry in Alexandria.
Kinematic intensities with the Lorentz-polarization factor, no thermal factor.

Peak list (10 most intense, 10° ≤ 2θ ≤ 90°, in order of rising 2θ)
2θ 18.00, rel. 97
2θ 20.11, rel. 48
2θ 27.76, rel. 100
2θ 28.93, rel. 49
2θ 30.14, rel. 47
2θ 36.19, rel. 64
2θ 36.47, rel. 54
2θ 41.68, rel. 42
2θ 43.69, rel. 52
2θ 45.42, rel. 44

Atomic structure:
Lattice parameters (Å, degrees): 5.455 5.455 5.056 102.74 102.74 108.06
Atoms (fractional coordinates):
U1 0.000 0.000 0.000
Ni1 0.065 0.355 0.636
Ni2 0.355 0.065 0.636
Ni3 0.500 0.500 0.000
Ni4 0.645 0.935 0.364
Ni5 0.935 0.645 0.364
H1 0.000 0.000 0.500
H2 0.133 0.691 0.673
H3 0.183 0.448 0.988
H4 0.309 0.867 0.327
H5 0.387 0.387 0.640
H6 0.448 0.183 0.988
H7 0.552 0.817 0.012
H8 0.613 0.613 0.360
H9 0.691 0.133 0.673
H10 0.817 0.552 0.012
H11 0.867 0.309 0.327